(1)
Starting from a structure optimized by DFT (GGA-PBE), the XRD peak list of MgCuTcSnOsC was simulated for Cu Kα.
No peak broadening, texture or thermal motion is included.

```
MgCuTcSnOsC
1.0
4.7164 -1.6207 0.0000
4.7164 1.6207 0.0000
-4.1130 0.0000 5.7374
Mg Cu Tc Sn Os C
1 1 1 1 1 1
direct
0.0000 0.0000 0.0000
0.2149 0.2149 0.8207
0.8274 0.8274 0.2315
0.6235 0.6235 0.4364
0.4076 0.4076 0.6085
0.6275 0.6275 0.9163
```

Principal peaks in the range 2θ = 5–70°, sorted by position:
2θ (°)	I_rel
15.44	56
29.93	19
36.96	100
38.45	49
39.98	40
41.47	80
49.56	22
56.81	16
65.49	19
67.59	17

---

(2)
Starting from a structure optimized by DFT (GGA-PBE), the XRD peak list of MgCuRuC was simulated for Cu Kα.
No peak broadening, texture or thermal motion is included.

```
MgCuRuC
1.0
2.9395 0.0000 0.0000
-1.4698 2.5457 0.0000
0.0000 0.0000 6.7824
Mg Cu Ru C
1 1 1 1
direct
0.0000 0.0000 0.0000
0.3333 0.6667 0.6840
0.6667 0.3333 0.3735
0.3333 0.6667 0.2095
```

Principal peaks in the range 2θ = 5–70°, sorted by position:
2θ (°)	I_rel
13.05	64
26.28	7
35.26	15
37.74	100
39.87	24
44.50	78
54.27	11
63.27	23
64.92	6
66.22	18

---

(3)
Starting from a structure optimized by DFT (GGA-PBE), the XRD peak list of Sr2CuCN2O2 was simulated for Cu Kα.
No peak broadening, texture or thermal motion is included.

```
Sr2CuCN2O2
1.0
3.8420 0.0000 0.0000
0.0000 3.8420 0.0000
0.0000 0.0000 8.1749
Sr Cu C N O
2 1 1 2 2
direct
0.0000 0.0000 0.2122
0.0000 0.0000 0.7878
0.5000 0.5000 0.0000
0.5000 0.5000 0.5000
0.5000 0.5000 0.3476
0.5000 0.5000 0.6524
0.0000 0.5000 0.0000
0.5000 0.0000 0.0000
```

Principal peaks in the range 2θ = 5–70°, sorted by position:
2θ (°)	I_rel
10.82	83
31.97	100
32.97	56
39.84	15
40.59	39
47.31	33
56.30	13
58.25	34
64.07	19
66.81	16

---

(4)
Starting from a structure optimized by DFT (GGA-PBE), the XRD peak list of Pa2CuCN5 was simulated for Cu Kα.
No peak broadening, texture or thermal motion is included.

```
Pa2CuCN5
1.0
6.6760 0.0000 0.0000
0.0000 6.6760 0.0000
0.0000 0.0000 4.8892
Pa Cu C N
4 2 2 10
direct
0.1875 0.3125 0.0000
0.3125 0.8125 0.0000
0.6875 0.1875 0.0000
0.8125 0.6875 0.0000
0.0000 0.0000 0.5000
0.5000 0.5000 0.5000
0.0000 0.5000 0.5000
0.5000 0.0000 0.5000
0.0000 0.0000 0.0000
0.1173 0.6173 0.2745
0.1173 0.6173 0.7255
0.3827 0.1173 0.2745
0.3827 0.1173 0.7255
0.5000 0.5000 0.0000
0.6173 0.8827 0.2745
0.6173 0.8827 0.7255
0.8827 0.3827 0.2745
0.8827 0.3827 0.7255
```

Principal peaks in the range 2θ = 5–70°, sorted by position:
2θ (°)	I_rel
18.14	95
26.71	26
29.93	54
32.48	100
35.22	98
36.76	29
48.11	48
56.86	25
60.21	41
69.65	27

---

(5)
Starting from a structure optimized by DFT (GGA-PBE), the XRD peak list of Na2CuCO4 was simulated for Cu Kα.
No peak broadening, texture or thermal motion is included.

```
Na2CuCO4
1.0
-2.8887 2.8887 2.5558
2.8887 -2.8887 2.5558
2.8887 2.8887 -2.5558
Na Cu C O
2 1 1 4
direct
0.0000 0.5000 0.5000
0.5000 0.0000 0.5000
0.0000 0.0000 0.0000
0.5000 0.5000 0.0000
0.1932 0.1932 0.7260
0.4672 0.4672 0.2740
0.5328 0.8068 0.0000
0.8068 0.5328 0.0000
```

Principal peaks in the range 2θ = 5–70°, sorted by position:
2θ (°)	I_rel
21.76	68
23.23	34
30.96	100
35.11	22
39.06	84
44.35	42
47.50	71
50.65	24
56.29	23
57.78	39

---

(6)
Starting from a structure optimized by DFT (GGA-PBE), the XRD peak list of Na3CuPCO7 was simulated for Cu Kα.
No peak broadening, texture or thermal motion is included.

```
Na3CuPCO7
1.0
5.4532 0.0000 0.0000
0.0000 6.3549 0.0000
-0.6843 0.0000 9.2178
Na Cu P C O
6 2 2 2 14
direct
0.0157 0.0000 0.0136
0.4292 0.3269 0.2002
0.4425 0.9300 0.4394
0.5575 0.4300 0.5606
0.5708 0.8269 0.7998
0.9843 0.5000 0.9864
0.0827 0.2248 0.7067
0.9173 0.7248 0.2933
0.0378 0.7203 0.6431
0.9622 0.2203 0.3569
0.4777 0.2352 0.8875
0.5223 0.7352 0.1125
0.0155 0.4149 0.2592
0.0526 0.0237 0.2718
0.1315 0.2326 0.5011
0.2429 0.2517 0.9157
0.3109 0.7077 0.6147
0.3551 0.7532 0.0088
0.4801 0.6955 0.2450
0.5199 0.1955 0.7550
0.6449 0.2532 0.9912
0.6891 0.2077 0.3853
0.7571 0.7517 0.0843
0.8685 0.7326 0.4989
0.9474 0.5237 0.7282
0.9845 0.9149 0.7408
```

Principal peaks in the range 2θ = 5–70°, sorted by position:
2θ (°)	I_rel
16.30	51
16.95	24
18.32	33
28.08	50
32.38	30
32.94	36
33.73	100
34.58	25
35.92	21
43.83	22

---

(7)
Starting from a structure optimized by DFT (GGA-PBE), the XRD peak list of Na6Cu2C4SO16 was simulated for Cu Kα.
No peak broadening, texture or thermal motion is included.

```
Na6Cu2C4SO16
1.0
0.0000 7.0068 7.0068
7.0068 0.0000 7.0068
7.0068 7.0068 0.0000
Na Cu C S O
12 4 8 2 32
direct
0.0918 0.0918 0.6582
0.0918 0.6582 0.0918
0.0918 0.6582 0.6582
0.3418 0.3418 0.9082
0.3418 0.9082 0.3418
0.3418 0.9082 0.9082
0.6582 0.0918 0.0918
0.6582 0.0918 0.6582
0.6582 0.6582 0.0918
0.9082 0.3418 0.3418
0.9082 0.3418 0.9082
0.9082 0.9082 0.3418
0.0000 0.5000 0.5000
0.5000 0.0000 0.5000
0.5000 0.5000 0.0000
0.5000 0.5000 0.5000
0.2816 0.2816 0.2816
0.2816 0.2816 0.6551
0.2816 0.6551 0.2816
0.3449 0.7184 0.7184
0.6551 0.2816 0.2816
0.7184 0.3449 0.7184
0.7184 0.7184 0.3449
0.7184 0.7184 0.7184
0.1250 0.1250 0.1250
0.8750 0.8750 0.8750
0.0633 0.0633 0.0633
0.0633 0.0633 0.3101
0.0633 0.3101 0.0633
0.1399 0.3027 0.3994
0.1399 0.3994 0.6580
0.1399 0.6580 0.3027
0.3027 0.1399 0.6580
0.3027 0.3994 0.1399
0.3027 0.6580 0.3994
0.3101 0.0633 0.0633
0.3420 0.6006 0.6973
0.3420 0.6973 0.8601
0.3420 0.8601 0.6006
0.3994 0.1399 0.3027
0.3994 0.3027 0.6580
0.3994 0.6580 0.1399
0.6006 0.3420 0.8601
0.6006 0.6973 0.3420
0.6006 0.8601 0.6973
0.6580 0.1399 0.3994
0.6580 0.3027 0.1399
0.6580 0.3994 0.3027
0.6899 0.9367 0.9367
0.6973 0.3420 0.6006
0.6973 0.6006 0.8601
0.6973 0.8601 0.3420
0.8601 0.3420 0.6973
0.8601 0.6006 0.3420
0.8601 0.6973 0.6006
0.9367 0.6899 0.9367
0.9367 0.9367 0.6899
0.9367 0.9367 0.9367
```

Principal peaks in the range 2θ = 5–70°, sorted by position:
2θ (°)	I_rel
10.94	33
21.03	100
33.22	91
36.26	77
37.99	23
42.80	23
46.27	21
56.90	32
57.32	22
65.23	17

---

(8)
Starting from a structure optimized by DFT (GGA-PBE), the XRD peak list of Na4Cu2C4SO16 was simulated for Cu Kα.
No peak broadening, texture or thermal motion is included.

```
Na4Cu2C4SO16
1.0
0.0000 6.9042 7.1060
6.8777 0.0000 7.1060
6.8777 6.9042 0.0000
Na Cu C S O
8 4 8 2 32
direct
0.0862 0.6638 0.0862
0.0860 0.6640 0.6640
0.3362 0.9138 0.3362
0.3360 0.9140 0.9140
0.6640 0.0860 0.0860
0.6638 0.0862 0.6638
0.9140 0.3360 0.3360
0.9138 0.3362 0.9138
0.0000 0.5000 0.5000
0.5000 0.0000 0.5000
0.5000 0.5000 0.0000
0.5000 0.5000 0.5000
0.2828 0.6414 0.2881
0.2881 0.2876 0.2828
0.2876 0.2881 0.6414
0.3586 0.7172 0.7124
0.6414 0.2828 0.2876
0.7124 0.7119 0.3586
0.7119 0.7124 0.7172
0.7172 0.3586 0.7119
0.1250 0.1250 0.1250
0.8750 0.8750 0.8750
0.0579 0.3110 0.0655
0.0655 0.0656 0.0579
0.0656 0.0655 0.3110
0.1425 0.4060 0.3021
0.1448 0.3087 0.6479
0.1461 0.6360 0.4087
0.3021 0.6494 0.1425
0.3087 0.1448 0.3986
0.3093 0.4087 0.6360
0.3110 0.0579 0.0656
0.3506 0.6979 0.5940
0.3521 0.6014 0.8552
0.3640 0.8539 0.6907
0.3986 0.6479 0.3087
0.4060 0.1425 0.6494
0.4087 0.3093 0.1461
0.5913 0.6907 0.8539
0.5940 0.8575 0.3506
0.6014 0.3521 0.6913
0.6360 0.1461 0.3093
0.6479 0.3986 0.1448
0.6494 0.3021 0.4060
0.6890 0.9421 0.9344
0.6907 0.5913 0.3640
0.6913 0.8552 0.6014
0.6979 0.3506 0.8575
0.8539 0.3640 0.5913
0.8552 0.6913 0.3521
0.8575 0.5940 0.6979
0.9344 0.9345 0.6890
0.9345 0.9344 0.9421
0.9421 0.6890 0.9345
```

Principal peaks in the range 2θ = 5–70°, sorted by position:
2θ (°)	I_rel
11.01	100
17.93	61
20.85	90
21.33	96
22.12	32
32.82	38
33.70	46
33.82	50
36.32	61
36.89	25

---

(9)
Starting from a structure optimized by DFT (GGA-PBE), the XRD peak list of Nb4CuC2S4 was simulated for Cu Kα.
No peak broadening, texture or thermal motion is included.

```
Nb4CuC2S4
1.0
3.3278 0.0000 0.0000
-1.6639 2.8820 0.0000
0.0000 0.0000 18.2829
Nb Cu C S
4 1 2 4
direct
0.0000 0.0000 0.0000
0.0000 0.0000 0.4936
0.3333 0.6667 0.3668
0.3333 0.6667 0.8719
0.0000 0.0000 0.6612
0.6667 0.3333 0.4320
0.6667 0.3333 0.9352
0.0000 0.0000 0.2783
0.0000 0.0000 0.7811
0.3333 0.6667 0.0890
0.3333 0.6667 0.5903
```

Principal peaks in the range 2θ = 5–70°, sorted by position:
2θ (°)	I_rel
9.68	87
31.03	42
32.58	27
36.87	100
43.21	50
51.00	18
55.20	36
59.91	11
68.24	15
69.93	11

---

(10)
Starting from a structure optimized by DFT (GGA-PBE), the XRD peak list of CuNiPC was simulated for Cu Kα.
No peak broadening, texture or thermal motion is included.

```
CuNiPC
1.0
2.8814 0.0000 0.0000
0.0242 3.8994 0.0000
1.4133 0.9721 4.9821
Cu Ni P C
1 1 1 1
direct
0.0000 0.0000 0.0000
0.8261 0.4376 0.3286
0.2132 0.0271 0.5672
0.7978 0.9133 0.3970
```

Principal peaks in the range 2θ = 5–70°, sorted by position:
2θ (°)	I_rel
17.80	76
23.24	47
26.51	77
32.10	55
32.28	86
32.40	92
39.20	100
45.27	46
47.19	39
47.52	65

---

(11)
Starting from a structure optimized by DFT (GGA-PBE), the XRD peak list of Cu3C2O8 was simulated for Cu Kα.
No peak broadening, texture or thermal motion is included.

```
Cu3C2O8
1.0
5.0846 0.0000 0.0000
0.0000 5.7009 0.0000
-1.0196 0.0000 10.5200
Cu C O
6 4 16
direct
0.0000 0.0000 0.0000
0.0000 0.5000 0.5000
0.2410 0.0060 0.5835
0.2410 0.4940 0.0835
0.7590 0.5060 0.9165
0.7590 0.9940 0.4165
0.3312 0.6834 0.3214
0.3312 0.8166 0.8214
0.6688 0.1834 0.1786
0.6688 0.3166 0.6786
0.0515 0.1844 0.4584
0.0515 0.3156 0.9584
0.1149 0.5726 0.3381
0.1149 0.9274 0.8381
0.4087 0.6962 0.2091
0.4087 0.8038 0.7091
0.4694 0.7205 0.9172
0.4694 0.7795 0.4172
0.5306 0.2205 0.5828
0.5306 0.2795 0.0828
0.5913 0.1962 0.2909
0.5913 0.3038 0.7909
0.8851 0.0726 0.1619
0.8851 0.4274 0.6619
0.9485 0.6844 0.0416
0.9485 0.8156 0.5416
```

Principal peaks in the range 2θ = 5–70°, sorted by position:
2θ (°)	I_rel
16.86	73
23.18	78
25.58	100
36.16	63
36.97	25
39.13	28
39.38	28
40.67	36
45.98	27
59.03	25